Diffraction record for RbS. The X-ray powder pattern is theoretical, not measured: it uses a structure optimized by DFT (GGA-PBE) and copper Kα.

Atomic structure:
Cell: 6.165 6.165 6.165 Å, 132.58 124.83 75.66°
Fractional coordinates of all 4 atoms:
Rb 0.178 0.178 0.000
Rb 0.822 0.822 0.000
S 0.312 0.500 0.812
S 0.688 0.500 0.188

Largest 12 diffraction maxima, in order of rising 2θ, 10 to 80 degrees two-theta:
d_spacing  I_rel
3.744  100
2.968  18
2.822  45
2.716  59
2.479  23
2.463  19
2.398  22
1.968  13
1.863  26
1.747  13
1.669  13
1.530  11

---

Diffraction record for RbS8. The X-ray powder pattern is theoretical, not measured: it uses a structure optimized by DFT (GGA-PBE) and copper Kα.

Atomic structure:
Cell: 5.210 6.057 8.574 Å, 71.22 87.70 82.99°
Fractional coordinates of all 9 atoms:
Rb 0.000 0.000 0.000
S 0.111 0.956 0.597
S 0.347 0.519 0.927
S 0.389 0.328 0.644
S 0.448 0.361 0.387
S 0.552 0.639 0.613
S 0.611 0.672 0.356
S 0.653 0.481 0.073
S 0.889 0.044 0.403

Largest 12 diffraction maxima, in order of rising 2θ, 10 to 80 degrees two-theta:
d_spacing  I_rel
4.363  49
4.066  100
3.626  92
3.027  29
2.848  15
2.788  20
2.706  23
2.626  19
2.590  28
2.416  17
2.108  21
1.672  17